# Ga3Ni4Au
Simulated X-ray powder pattern, Cu Kα (λ = 1.5418 Å). Input: the GGA-PBE geometry in Alexandria.

a = 3.9691 Å, b = 3.9691 Å, c = 6.5739 Å
α = 90.00°, β = 90.00°, γ = 90.00°
Space group P4/mmm (No. 123)
Asymmetric unit:
1 Ga 0.0000 0.0000 0.0000 (multiplicity 1)
2 Ga 0.0000 0.0000 0.5000 (multiplicity 1)
3 Ga 0.5000 0.5000 0.0000 (multiplicity 1)
4 Ni 0.0000 0.5000 0.2278 (multiplicity 4)
5 Au 0.5000 0.5000 0.5000 (multiplicity 1)

The 10 most intense peaks (2θ = 5–70°), in order of rising 2θ:
index	Position (°2θ)	I (rel.)
0 0 1	13.47	6
1 0 0	22.40	9
1 0 1	26.23	12
1 1 0	31.89	6
1 1 1	34.76	10
1 0 2	35.46	6
1 1 2	42.35	100
2 0 0	45.72	41
0 0 4	55.95	10
2 2 0	66.65	13

***

# V4GeW
Simulated X-ray powder pattern, Cu Kα (λ = 1.5418 Å). Input: the GGA-PBE geometry in Alexandria.

a = 4.3280 Å, b = 4.3372 Å, c = 4.9735 Å
α = 90.00°, β = 115.63°, γ = 90.00°
Space group P2/m (No. 10)
Asymmetric unit:
1 V 0.1701 0.0000 0.3399 (multiplicity 2)
2 V 0.3253 0.5000 0.6503 (multiplicity 2)
3 Ge 0.0000 0.5000 0.0000 (multiplicity 1)
4 W 0.5000 0.0000 0.0000 (multiplicity 1)

The 10 most intense peaks (2θ = 5–70°), in order of rising 2θ:
index	Position (°2θ)	I (rel.)
0 0 1	19.80	16
0 1 0	20.48	9
1 0 0	22.81	13
0 1 1	28.63	8
1 1 0	30.84	30
0 2 0	41.69	52
1 1 1	42.24	100
2 0 0	46.53	6
2 2 -1	60.43	17
0 0 3	62.10	7

***

# Ce4Cu3S4O4
Simulated X-ray powder pattern, Cu Kα (λ = 1.5418 Å). Input: the GGA-PBE geometry in Alexandria.

a = 5.4856 Å, b = 5.4856 Å, c = 16.5718 Å
α = 90.00°, β = 90.00°, γ = 90.00°
Space group I-42m (No. 121)
Asymmetric unit:
1 Ce 0.2482 0.2482 0.1726 (multiplicity 8)
2 Cu 0.0000 0.0000 0.0000 (multiplicity 2)
3 Cu 0.0000 0.5000 0.0000 (multiplicity 4)
4 S 0.2493 0.2493 0.9164 (multiplicity 8)
5 O 0.0000 0.0000 0.2513 (multiplicity 4)
6 O 0.0000 0.5000 0.2500 (multiplicity 4)

The 10 most intense peaks (2θ = 5–70°), in order of rising 2θ:
index	Position (°2θ)	I (rel.)
1 1 2	25.35	51
1 1 4	31.60	100
0 0 6	32.42	17
2 0 0	32.65	19
2 0 2	34.44	29
2 0 4	39.40	39
2 2 0	46.84	36
1 1 8	49.91	16
2 0 8	55.60	25
3 1 4	57.61	34

***

# Tl2SbS5
Simulated X-ray powder pattern, Cu Kα (λ = 1.5418 Å). Input: the GGA-PBE geometry in Alexandria.

a = 5.0054 Å, b = 6.8201 Å, c = 7.8336 Å
α = 65.56°, β = 75.87°, γ = 83.79°
Space group P1 (No. 1)
Asymmetric unit:
1 Tl 0.0000 0.0000 0.0000 (multiplicity 1)
2 Tl 0.2087 0.2694 0.4553 (multiplicity 1)
3 Sb 0.7526 0.6546 0.7096 (multiplicity 1)
4 S 0.1905 0.8530 0.3956 (multiplicity 1)
5 S 0.3648 0.3999 0.9871 (multiplicity 1)
6 S 0.5654 0.7081 0.3983 (multiplicity 1)
7 S 0.5927 0.9907 0.7253 (multiplicity 1)
8 S 0.9893 0.5421 0.0219 (multiplicity 1)

The 10 most intense peaks (2θ = 5–70°), in order of rising 2θ:
index	Position (°2θ)	I (rel.)
1 0 0	18.28	35
1 1 1	21.19	64
0 1 -1	22.71	36
1 -1 0	23.35	76
0 1 2	23.77	39
1 0 -1	24.57	56
0 2 1	26.32	100
1 0 2	28.08	71
1 2 0	34.19	34
1 2 3	38.22	33

***

# SrNp2PaO8
Simulated X-ray powder pattern, Cu Kα (λ = 1.5418 Å). Input: the GGA-PBE geometry in Alexandria.

a = 5.4435 Å, b = 5.4435 Å, c = 10.8570 Å
α = 90.00°, β = 90.00°, γ = 90.00°
Space group I-4m2 (No. 119)
Asymmetric unit:
1 Sr 0.0000 0.0000 0.0000 (multiplicity 2)
2 Np 0.0000 0.0000 0.5000 (multiplicity 2)
3 Np 0.0000 0.5000 0.2500 (multiplicity 2)
4 Pa 0.0000 0.5000 0.7500 (multiplicity 2)
5 O 0.2360 0.2375 0.6313 (multiplicity 16)

The 10 most intense peaks (2θ = 5–70°), in order of rising 2θ:
index	Position (°2θ)	I (rel.)
0 0 2	16.33	3
1 0 1	18.23	11
1 1 2	28.43	100
2 0 0	32.94	35
2 1 3	44.89	3
2 2 0	47.27	51
3 1 2	56.05	31
1 1 6	56.17	16
2 2 4	58.82	10
4 0 0	69.01	5